# 1
Ba3TbW2N6: theoretical powder diffraction line list (Cu Kα (λ = 1.5418 Å)), based on a cell relaxed with PBE.
Peak positions follow from Bragg's law for the DFT cell and can differ from measured ones.

Top 8 peaks for 2θ = 10–80°, in order of falling intensity:
2θ (°), I_rel, h k l
28.46, 100, 1 1 0
29.05, 86, 0 1 2
41.12, 41, 2 0 2
50.77, 37, 1 2 2
50.40, 21, 3 0 0
67.00, 16, 3 1 2
58.90, 16, 2 2 0
57.52, 10, 1 1 4

Cell and atoms:
Cell lengths 6.2724, 6.2724, 7.4556 Å; angles 90.00, 90.00, 120.00 degrees
Space group P-3m1 (No. 164)
Unique sites:
Ba1 0.0000 0.0000 0.0000 (multiplicity 1)
Ba2 0.3333 0.6667 0.6825 (multiplicity 2)
Tb1 0.0000 0.0000 0.5000 (multiplicity 1)
W1 0.3333 0.6667 0.2229 (multiplicity 2)
N1 0.1718 0.3437 0.2982 (multiplicity 6)


# 2
BaTcN2: theoretical powder diffraction line list (Cu Kα (λ = 1.5418 Å)), based on a cell relaxed with PBE.
Peak positions follow from Bragg's law for the DFT cell and can differ from measured ones.

Top 8 peaks for 2θ = 10–80°, in order of falling intensity:
2θ (°), I_rel, h k l
13.69, 100, 1 1 0
27.58, 71, 2 2 0
21.23, 35, 1 1 -1
23.35, 28, 1 1 1
40.87, 24, 0 2 2
33.40, 18, 3 1 -1
35.29, 16, 1 3 -1
56.28, 14, 2 4 -2

Cell and atoms:
Cell lengths 9.331, 9.059, 5.106 Å; angles 90.00, 97.92, 90.00 degrees
Space group C2/c (No. 15)
Unique sites:
Ba1 0.250 0.250 0.000 (multiplicity 4)
Tc1 0.000 0.005 0.250 (multiplicity 4)
N1 0.112 0.114 0.535 (multiplicity 8)


# 3
Ba2Tc2N5: theoretical powder diffraction line list (Cu Kα (λ = 1.5418 Å)), based on a cell relaxed with PBE.
Peak positions follow from Bragg's law for the DFT cell and can differ from measured ones.

Top 8 peaks for 2θ = 10–80°, in order of falling intensity:
2θ (°), I_rel, h k l
30.50, 100, 2 0 -1
27.20, 99, 1 1 1
31.64, 55, 1 1 -3
31.44, 54, 1 -1 2
26.89, 51, 0 2 -1
41.31, 21, 2 2 -2
21.96, 19, 1 0 1
55.00, 19, 3 1 -4

Cell and atoms:
Cell lengths 5.865, 6.794, 9.005 Å; angles 99.59, 108.75, 90.55 degrees
Space group P1 (No. 1)
Unique sites:
Ba1 0.000 0.000 0.000 (multiplicity 1)
Ba2 0.226 0.193 0.444 (multiplicity 1)
Ba3 0.486 0.485 0.990 (multiplicity 1)
Ba4 0.772 0.669 0.516 (multiplicity 1)
Tc1 0.134 0.634 0.253 (multiplicity 1)
Tc2 0.382 0.973 0.801 (multiplicity 1)
Tc3 0.622 0.989 0.227 (multiplicity 1)
Tc4 0.808 0.203 0.656 (multiplicity 1)
N1 0.082 0.397 0.119 (multiplicity 1)
N2 0.145 0.152 0.726 (multiplicity 1)
N3 0.231 0.589 0.451 (multiplicity 1)
N4 0.253 0.737 0.783 (multiplicity 1)
N5 0.375 0.794 0.223 (multiplicity 1)
N6 0.537 0.077 0.033 (multiplicity 1)
N7 0.633 0.004 0.706 (multiplicity 1)
N8 0.725 0.174 0.416 (multiplicity 1)
N9 0.745 0.439 0.733 (multiplicity 1)
N10 0.848 0.777 0.221 (multiplicity 1)


# 4
Ba4TcN5: theoretical powder diffraction line list (Cu Kα (λ = 1.5418 Å)), based on a cell relaxed with PBE.
Peak positions follow from Bragg's law for the DFT cell and can differ from measured ones.

Top 8 peaks for 2θ = 10–80°, in order of falling intensity:
2θ (°), I_rel, h k l
28.27, 100, 1 2 1
33.83, 40, 3 1 0
46.19, 28, 3 1 2
30.51, 27, 0 0 2
57.17, 26, 5 0 1
52.85, 17, 1 2 3
48.59, 12, 2 4 0
58.47, 12, 2 4 2

Cell and atoms:
Cell lengths 8.380, 8.380, 5.860 Å; angles 90.00, 90.00, 90.00 degrees
Space group I4 (No. 79)
Unique sites:
Ba1 0.123 0.701 0.000 (multiplicity 8)
Tc1 0.000 0.000 0.571 (multiplicity 2)
N1 0.000 0.000 0.874 (multiplicity 2)
N2 0.073 0.771 0.500 (multiplicity 8)


# 5
Ba2TcN2: theoretical powder diffraction line list (Cu Kα (λ = 1.5418 Å)), based on a cell relaxed with PBE.
Peak positions follow from Bragg's law for the DFT cell and can differ from measured ones.

Top 8 peaks for 2θ = 10–80°, in order of falling intensity:
2θ (°), I_rel, h k l
31.01, 100, 0 2 0
31.77, 41, 2 1 1
30.78, 38, 2 1 0
26.72, 23, 1 0 3
27.91, 22, 0 1 3
41.41, 18, 1 2 3
25.56, 18, 1 1 2
55.19, 16, 4 0 1

Cell and atoms:
Cell lengths 6.728, 5.760, 11.527 Å; angles 90.00, 90.00, 90.00 degrees
Space group Pnma (No. 62)
Unique sites:
Ba1 0.059 0.250 0.194 (multiplicity 4)
Ba2 0.186 0.250 0.548 (multiplicity 4)
Tc1 0.224 0.250 0.837 (multiplicity 4)
N1 0.033 0.750 0.245 (multiplicity 4)
N2 0.224 0.750 0.494 (multiplicity 4)


# 6
Ba3TeN: theoretical powder diffraction line list (Cu Kα (λ = 1.5418 Å)), based on a cell relaxed with PBE.
Peak positions follow from Bragg's law for the DFT cell and can differ from measured ones.

Top 8 peaks for 2θ = 10–80°, in order of falling intensity:
2θ (°), I_rel, h k l
25.50, 100, 3 1 1
28.81, 87, 5 1 -1
26.54, 46, 8 0 0
32.56, 40, 0 2 0
34.24, 35, 0 0 2
33.21, 32, 7 1 1
47.97, 27, 0 2 2
42.49, 26, 8 2 0

Cell and atoms:
Cell lengths 26.869, 5.499, 5.238 Å; angles 90.00, 90.01, 90.00 degrees
Space group C2/m (No. 12)
Unique sites:
Ba1 0.066 0.000 0.252 (multiplicity 4)
Ba2 0.080 0.500 0.752 (multiplicity 4)
Ba3 0.188 0.000 0.752 (multiplicity 4)
Te1 0.173 0.500 0.252 (multiplicity 4)
N1 0.095 0.000 0.752 (multiplicity 4)


# 7
Ba3Th2UN6: theoretical powder diffraction line list (Cu Kα (λ = 1.5418 Å)), based on a cell relaxed with PBE.
Peak positions follow from Bragg's law for the DFT cell and can differ from measured ones.

Top 8 peaks for 2θ = 10–80°, in order of falling intensity:
2θ (°), I_rel, h k l
29.35, 100, 2 0 0
33.52, 93, 1 3 1
27.60, 41, 0 0 2
57.38, 34, 3 3 1
47.00, 34, 2 0 2
49.25, 32, 0 6 0
55.38, 20, 1 3 3
13.70, 19, 0 0 1

Cell and atoms:
Cell lengths 6.413, 11.095, 6.808 Å; angles 90.00, 108.28, 90.00 degrees
Space group C2/m (No. 12)
Unique sites:
Ba1 0.000 0.000 0.000 (multiplicity 2)
Ba2 0.000 0.333 0.000 (multiplicity 4)
Th1 0.000 0.167 0.500 (multiplicity 4)
U1 0.000 0.500 0.500 (multiplicity 2)
N1 0.211 0.347 0.674 (multiplicity 8)
N2 0.248 0.500 0.322 (multiplicity 4)


# 8
Ba2TmUN4: theoretical powder diffraction line list (Cu Kα (λ = 1.5418 Å)), based on a cell relaxed with PBE.
Peak positions follow from Bragg's law for the DFT cell and can differ from measured ones.

Top 8 peaks for 2θ = 10–80°, in order of falling intensity:
2θ (°), I_rel, h k l
30.27, 100, 1 1 -1
34.37, 97, 1 1 1
27.73, 66, 0 0 2
30.96, 47, 2 0 0
34.99, 45, 2 0 -2
47.76, 35, 1 1 -3
59.85, 33, 3 1 -3
51.90, 30, 3 1 -1

Cell and atoms:
Cell lengths 6.055, 3.611, 6.743 Å; angles 90.00, 107.42, 90.00 degrees
Space group P2/m (No. 10)
Unique sites:
Ba1 0.000 0.000 0.000 (multiplicity 1)
Ba2 0.500 0.500 0.000 (multiplicity 1)
Tm1 0.000 0.500 0.500 (multiplicity 1)
U1 0.500 0.000 0.500 (multiplicity 1)
N1 0.255 0.000 0.674 (multiplicity 2)
N2 0.291 0.500 0.325 (multiplicity 2)


# 9
Ba3U4N9: theoretical powder diffraction line list (Cu Kα (λ = 1.5418 Å)), based on a cell relaxed with PBE.
Peak positions follow from Bragg's law for the DFT cell and can differ from measured ones.

Top 8 peaks for 2θ = 10–80°, in order of falling intensity:
2θ (°), I_rel, h k l
28.95, 100, 1 1 0
29.79, 81, 1 0 7
42.02, 40, 0 2 7
51.83, 37, 2 1 7
18.02, 23, 0 1 2
51.31, 21, 3 0 0
43.50, 17, 1 1 9
68.41, 16, 1 3 7

Cell and atoms:
Cell lengths 6.1686, 6.1686, 25.3671 Å; angles 90.00, 90.00, 120.00 degrees
Space group R-3m (No. 166, hexagonal axes)
Unique sites:
Ba1 0.0000 0.0000 0.0000 (multiplicity 3)
Ba2 0.0000 0.0000 0.4228 (multiplicity 6)
U1 0.0000 0.0000 0.1560 (multiplicity 6)
U2 0.0000 0.0000 0.2834 (multiplicity 6)
N1 0.0000 0.5000 0.0000 (multiplicity 9)
N2 0.0234 0.5117 0.4440 (multiplicity 18)


# 10
Ba3U2N6: theoretical powder diffraction line list (Cu Kα (λ = 1.5418 Å)), based on a cell relaxed with PBE.
Peak positions follow from Bragg's law for the DFT cell and can differ from measured ones.

Top 8 peaks for 2θ = 10–80°, in order of falling intensity:
2θ (°), I_rel, h k l
28.54, 100, 1 0 5
28.94, 51, 1 1 0
51.04, 41, 2 1 5
41.38, 25, 2 0 0
50.30, 18, 1 1 10
59.08, 13, 2 0 10
15.81, 11, 0 0 4
40.22, 10, 0 0 10

Cell and atoms:
Cell lengths 4.364, 4.364, 22.423 Å; angles 90.00, 90.00, 90.00 degrees
Space group I4/mmm (No. 139)
Unique sites:
Ba1 0.000 0.000 0.000 (multiplicity 2)
Ba2 0.000 0.000 0.187 (multiplicity 4)
U1 0.000 0.000 0.403 (multiplicity 4)
N1 0.000 0.000 0.313 (multiplicity 4)
N2 0.000 0.500 0.090 (multiplicity 8)


# 11
Ba2UN3: theoretical powder diffraction line list (Cu Kα (λ = 1.5418 Å)), based on a cell relaxed with PBE.
Peak positions follow from Bragg's law for the DFT cell and can differ from measured ones.

Top 8 peaks for 2θ = 10–80°, in order of falling intensity:
2θ (°), I_rel, h k l
28.15, 100, 1 3 1
28.75, 29, 2 0 0
29.22, 28, 0 0 2
41.45, 24, 2 0 2
50.56, 21, 3 3 1
51.16, 20, 1 3 3
58.20, 17, 2 6 2
12.77, 16, 0 2 0

Cell and atoms:
Cell lengths 6.211, 13.860, 6.112 Å; angles 90.00, 90.00, 90.00 degrees
Space group Cmme (No. 67)
Unique sites:
Ba1 0.000 0.098 0.241 (multiplicity 8)
U1 0.000 0.250 0.754 (multiplicity 4)
N1 0.000 0.107 0.731 (multiplicity 8)
N2 0.250 0.250 0.000 (multiplicity 4)


# 12
Ba3UN4: theoretical powder diffraction line list (Cu Kα (λ = 1.5418 Å)), based on a cell relaxed with PBE.
Peak positions follow from Bragg's law for the DFT cell and can differ from measured ones.

Top 8 peaks for 2θ = 10–80°, in order of falling intensity:
2θ (°), I_rel, h k l
28.59, 100, 2 2 0
30.91, 80, 2 0 2
27.54, 77, 0 2 2
47.83, 32, 2 4 2
17.64, 25, 0 2 0
54.18, 24, 4 2 2
35.58, 24, 0 4 0
52.31, 20, 2 2 4

Cell and atoms:
Cell lengths 7.944, 10.093, 8.446 Å; angles 90.00, 90.00, 90.00 degrees
Space group Pnma (No. 62)
Unique sites:
Ba1 0.015 0.034 0.247 (multiplicity 8)
Ba2 0.244 0.750 0.462 (multiplicity 4)
U1 0.249 0.750 0.034 (multiplicity 4)
N1 0.033 0.750 0.200 (multiplicity 4)
N2 0.206 0.750 0.790 (multiplicity 4)
N3 0.235 0.051 0.534 (multiplicity 8)


Question: What is the formula in the fifth record?
Answer: Ba2TcN2